1.
Simulated X-ray diffraction stick pattern
Compound: Ca
Radiation: Cu Kα
Structure: a structure optimized by DFT (GGA-PBE)

```
data_Ca
_chemical_formula_sum 'Ca4'
_space_group_name_H-M_alt 'P 63/m m c'
_space_group_IT_number 194
_space_group_name_Hall '-P 6c 2c'
_cell_length_a 3.8856
_cell_length_b 3.8856
_cell_length_c 12.8206
_cell_angle_alpha 90.00
_cell_angle_beta 90.00
_cell_angle_gamma 120.00
loop_
_atom_site_label
_atom_site_type_symbol
_atom_site_fract_x
_atom_site_fract_y
_atom_site_fract_z
Ca1 Ca 0.0000 0.0000 0.0000
Ca2 Ca 0.3333 0.6667 0.2500
```

Peak list (8 most intense, 2θ = 10–80°, in order of falling intensity)
(1 0 2), 30.0°, I 100; (1 0 1), 27.4°, I 43; (0 0 4), 27.8°, I 36; (1 1 4), 55.3°, I 27; (1 0 3), 33.9°, I 24; (1 1 0), 46.8°, I 23; (1 0 6), 50.6°, I 20; (2 0 2), 56.6°, I 14


2.
Simulated X-ray diffraction stick pattern
Compound: Ca
Radiation: Cu Kα
Structure: a structure optimized by DFT (GGA-PBE)

```
data_Ca
_chemical_formula_sum 'Ca4'
_space_group_name_H-M_alt 'F m -3 m'
_space_group_IT_number 225
_space_group_name_Hall '-F 4 2 3'
_cell_length_a 5.507
_cell_length_b 5.507
_cell_length_c 5.507
_cell_angle_alpha 90.00
_cell_angle_beta 90.00
_cell_angle_gamma 90.00
loop_
_atom_site_label
_atom_site_type_symbol
_atom_site_fract_x
_atom_site_fract_y
_atom_site_fract_z
Ca1 Ca 0.000 0.000 0.000
```

Peak list (8 most intense, 2θ = 10–80°, in order of falling intensity)
(1 1 1), 28.1°, I 100; (2 0 0), 32.5°, I 50; (3 1 1), 55.3°, I 38; (2 2 0), 46.6°, I 33; (3 3 1), 75.2°, I 14; (4 2 0), 77.5°, I 13; (2 2 2), 58.0°, I 11; (4 0 0), 68.1°, I 5


3.
Simulated X-ray diffraction stick pattern
Compound: Ca
Radiation: Cu Kα
Structure: a structure optimized by DFT (GGA-PBE)

```
data_Ca
_chemical_formula_sum 'Ca1'
_space_group_name_H-M_alt 'P m -3 m'
_space_group_IT_number 221
_space_group_name_Hall '-P 4 2 3'
_cell_length_a 3.522
_cell_length_b 3.522
_cell_length_c 3.522
_cell_angle_alpha 90.00
_cell_angle_beta 90.00
_cell_angle_gamma 90.00
loop_
_atom_site_label
_atom_site_type_symbol
_atom_site_fract_x
_atom_site_fract_y
_atom_site_fract_z
Ca1 Ca 0.000 0.000 0.000
```

Peak list (7 most intense, 2θ = 10–80°, in order of falling intensity)
(1 0 0), 25.3°, I 100; (1 1 0), 36.1°, I 74; (2 1 0), 58.6°, I 32; (1 1 1), 44.6°, I 26; (2 1 1), 64.8°, I 23; (2 0 0), 51.9°, I 12; (2 2 0), 76.5°, I 7


4.
Simulated X-ray diffraction stick pattern
Compound: Ca
Radiation: Cu Kα
Structure: a structure optimized by DFT (GGA-PBE)

```
data_Ca
_chemical_formula_sum 'Ca2'
_space_group_name_H-M_alt 'P 63/m m c'
_space_group_IT_number 194
_space_group_name_Hall '-P 6c 2c'
_cell_length_a 3.8966
_cell_length_b 3.8966
_cell_length_c 6.4513
_cell_angle_alpha 90.00
_cell_angle_beta 90.00
_cell_angle_gamma 120.00
loop_
_atom_site_label
_atom_site_type_symbol
_atom_site_fract_x
_atom_site_fract_y
_atom_site_fract_z
Ca1 Ca 0.3333 0.6667 0.2500
```

Peak list (8 most intense, 2θ = 10–80°, in order of falling intensity)
(1 0 1), 29.9°, I 100; (0 0 2), 27.7°, I 27; (1 0 0), 26.4°, I 23; (1 0 3), 50.3°, I 21; (1 1 2), 55.1°, I 20; (1 1 0), 46.6°, I 18; (1 0 2), 38.6°, I 16; (2 0 1), 56.4°, I 14


5.
Simulated X-ray diffraction stick pattern
Compound: Ca
Radiation: Cu Kα
Structure: a structure optimized by DFT (GGA-PBE)

```
data_Ca
_chemical_formula_sum 'Ca2'
_space_group_name_H-M_alt 'I m -3 m'
_space_group_IT_number 229
_space_group_name_Hall '-I 4 2 3'
_cell_length_a 4.386
_cell_length_b 4.386
_cell_length_c 4.386
_cell_angle_alpha 90.00
_cell_angle_beta 90.00
_cell_angle_gamma 90.00
loop_
_atom_site_label
_atom_site_type_symbol
_atom_site_fract_x
_atom_site_fract_y
_atom_site_fract_z
Ca1 Ca 0.000 0.000 0.000
```

Peak list (6 most intense, 2θ = 10–80°, in order of falling intensity)
(1 1 0), 28.8°, I 100; (2 1 1), 51.0°, I 35; (2 0 0), 41.2°, I 18; (3 1 0), 67.5°, I 14; (2 2 0), 59.6°, I 11; (2 2 2), 75.0°, I 3


6.
Simulated X-ray diffraction stick pattern
Compound: Ca
Radiation: Cu Kα
Structure: a structure optimized by DFT (GGA-PBE)

```
data_Ca
_chemical_formula_sum 'Ca8'
_space_group_name_H-M_alt 'C m c e'
_space_group_IT_number 64
_space_group_name_Hall '-C 2ac 2'
_cell_length_a 6.936
_cell_length_b 7.189
_cell_length_c 6.989
_cell_angle_alpha 90.00
_cell_angle_beta 90.00
_cell_angle_gamma 90.00
loop_
_atom_site_label
_atom_site_type_symbol
_atom_site_fract_x
_atom_site_fract_y
_atom_site_fract_z
Ca1 Ca 0.000 0.161 0.197
```

Peak list (8 most intense, 2θ = 10–80°, in order of falling intensity)
(0 2 1), 27.9°, I 100; (2 0 0), 25.7°, I 86; (2 2 1), 38.3°, I 81; (1 1 2), 31.2°, I 55; (0 0 2), 25.5°, I 54; (2 0 2), 36.5°, I 40; (4 0 2), 59.4°, I 23; (1 1 4), 55.7°, I 23


7.
Simulated X-ray diffraction stick pattern
Compound: Ca
Radiation: Cu Kα
Structure: a structure optimized by DFT (GGA-PBE)

```
data_Ca
_chemical_formula_sum 'Ca2'
_space_group_name_H-M_alt 'I 4/m m m'
_space_group_IT_number 139
_space_group_name_Hall '-I 4 2'
_cell_length_a 4.490
_cell_length_b 4.490
_cell_length_c 4.195
_cell_angle_alpha 90.00
_cell_angle_beta 90.00
_cell_angle_gamma 90.00
loop_
_atom_site_label
_atom_site_type_symbol
_atom_site_fract_x
_atom_site_fract_y
_atom_site_fract_z
Ca1 Ca 0.000 0.000 0.000
```

Peak list (8 most intense, 2θ = 10–80°, in order of falling intensity)
(1 0 1), 29.1°, I 100; (1 1 0), 28.1°, I 55; (2 1 1), 50.4°, I 38; (2 0 0), 40.2°, I 20; (1 1 2), 52.3°, I 17; (2 0 2), 60.4°, I 10; (3 1 0), 65.8°, I 8; (0 0 2), 43.1°, I 8


8.
Simulated X-ray diffraction stick pattern
Compound: Ca
Radiation: Cu Kα
Structure: a structure optimized by DFT (GGA-PBE)

```
data_Ca
_chemical_formula_sum 'Ca8'
_space_group_name_H-M_alt 'I 4/m c m'
_space_group_IT_number 140
_space_group_name_Hall '-I 4 2c'
_cell_length_a 7.456
_cell_length_b 7.456
_cell_length_c 6.527
_cell_angle_alpha 90.00
_cell_angle_beta 90.00
_cell_angle_gamma 90.00
loop_
_atom_site_label
_atom_site_type_symbol
_atom_site_fract_x
_atom_site_fract_y
_atom_site_fract_z
Ca1 Ca 0.170 0.330 0.000
```

Peak list (8 most intense, 2θ = 10–80°, in order of falling intensity)
(2 1 1), 30.1°, I 100; (0 0 2), 27.3°, I 30; (2 0 0), 23.9°, I 24; (2 1 3), 50.1°, I 21; (4 1 1), 52.5°, I 21; (2 0 2), 36.6°, I 15; (1 1 0), 16.8°, I 11; (3 3 2), 59.8°, I 11